Starting from a DFT-relaxed cell (PBE+U, Alexandria), the X-ray diffraction stick pattern of LaZnCrCuO6 was calculated for Cu Kα, 1.54184 Å.
Intensities are scaled so that the largest is 100.

Largest 6 diffraction maxima, sorted by position, 10° ≤ 2θ ≤ 80°:
- 32.79°, d 2.731, intensity 34
- 32.99°, d 2.715, intensity 100
- 33.39°, d 2.683, intensity 64
- 47.16°, d 1.927, intensity 34
- 48.18°, d 1.889, intensity 17
- 59.07°, d 1.564, intensity 19

```
LaZnCrCuO6
1.0
5.463 0.000 0.000
0.000 5.441 0.000
-5.348 0.000 7.554
La Zn Cr Cu O
2 2 2 2 12
Cartesian
0.000 1.171 0.000 La
-2.674 4.269 3.777 La
0.101 1.536 3.706 Zn
-2.573 3.904 7.484 Zn
2.825 1.406 1.880 Cr
0.151 4.035 5.657 Cr
-2.603 1.401 5.697 Cu
0.071 4.039 1.920 Cu
-1.965 1.193 3.821 O
0.709 4.247 0.044 O
2.289 1.749 0.022 O
-0.385 3.692 3.799 O
0.989 0.242 2.313 O
-1.685 5.199 6.090 O
1.566 2.590 2.457 O
-1.108 2.851 6.234 O
0.852 0.256 5.230 O
3.526 5.185 1.453 O
4.248 2.541 1.568 O
1.575 2.899 5.345 O
```